[1]
Computed X-ray powder pattern of Li3Co2Si3O10 for Cu Ka, from a DFT-relaxed cell (GGA+U, the Materials Project).
Kinematic intensities with the Lorentz-polarization factor, no thermal factor.

Cell and atoms:
```
data_Li3Co2Si3O10
_chemical_formula_sum 'Li6 Co4 Si6 O20'
_cell_length_a 5.3607
_cell_length_b 5.3937
_cell_length_c 16.9466
_cell_angle_alpha 84.05
_cell_angle_beta 84.92
_cell_angle_gamma 60.26
_symmetry_space_group_name_H-M 'P 1'
_symmetry_Int_Tables_number 1
loop_
_symmetry_equiv_pos_as_xyz
'x,y,z'
loop_
_atom_site_label
_atom_site_fract_x
_atom_site_fract_y
_atom_site_fract_z
Li1 0.0000 0.0000 0.0000
Li2 0.0034 0.1119 0.6813
Li3 0.3511 0.7627 0.7893
Li4 0.3556 0.8750 0.4706
Li5 0.5322 0.6145 0.2904
Li6 0.8247 0.2602 0.1802
Co1 0.1686 0.2611 0.3234
Co2 0.1876 0.6138 0.1473
Co3 0.3617 0.4427 0.6496
Co4 0.9936 0.4326 0.8210
Si1 0.0468 0.5741 0.4861
Si2 0.3096 0.3008 0.9848
Si3 0.5005 0.9641 0.1375
Si4 0.6567 0.1059 0.8350
Si5 0.6988 0.7691 0.6357
Si6 0.8555 0.9108 0.3331
O1 0.0080 0.8365 0.4192
O2 0.0587 0.3256 0.9319
O3 0.0815 0.6448 0.2782
O4 0.1150 0.2961 0.4400
O5 0.2402 0.5789 0.0306
O6 0.2739 0.2302 0.1924
O7 0.2965 0.5492 0.5386
O8 0.3477 0.0384 0.0515
O9 0.3775 0.3765 0.7898
O10 0.3979 0.7782 0.6703
O11 0.5206 0.6615 0.1737
O12 0.5454 0.9166 0.3434
O13 0.6206 0.1710 0.9310
O14 0.6669 0.8026 0.8244
O15 0.6882 0.0713 0.6466
O16 0.7346 0.7038 0.5395
O17 0.8105 0.9584 0.1275
O18 0.8355 0.2130 0.2970
O19 0.9568 0.0966 0.8005
O20 0.9776 0.4980 0.6810
```

Peak list (12 most intense, 2θ = 5–70°, low angle first)
d [Å]	2theta	intensity
8.420	10.5	85.0
4.658	19.1	47.7
4.622	19.2	100.0
4.584	19.4	45.0
4.533	19.6	31.4
4.210	21.1	75.6
4.147	21.4	27.9
3.999	22.2	44.1
2.807	31.9	92.5
2.695	33.2	64.4
2.674	33.5	48.0
2.482	36.2	32.3

***

[2]
Computed X-ray powder pattern of Li2CoSi3O8 for Cu Ka, from a DFT-relaxed cell (GGA+U, the Materials Project).
Kinematic intensities with the Lorentz-polarization factor, no thermal factor.

Cell and atoms:
```
data_Li2CoSi3O8
_chemical_formula_sum 'Li4 Co2 Si6 O16'
_cell_length_a 6.2849
_cell_length_b 8.5492
_cell_length_c 6.5801
_cell_angle_alpha 90.00
_cell_angle_beta 104.90
_cell_angle_gamma 90.00
_symmetry_space_group_name_H-M 'P 1'
_symmetry_Int_Tables_number 1
loop_
_symmetry_equiv_pos_as_xyz
'x,y,z'
loop_
_atom_site_label
_atom_site_fract_x
_atom_site_fract_y
_atom_site_fract_z
Li1 0.0888 0.0000 0.4921
Li2 0.3484 0.5138 0.2368
Li3 0.6516 0.0138 0.7632
Li4 0.9112 0.5000 0.5079
Co1 0.4571 0.3394 0.5984
Co2 0.5429 0.8394 0.4016
Si1 0.0823 0.8336 0.9893
Si2 0.2544 0.1484 0.8917
Si3 0.3408 0.6710 0.7300
Si4 0.6592 0.1710 0.2700
Si5 0.7456 0.6484 0.1083
Si6 0.9177 0.3336 0.0107
O1 0.0677 0.0110 0.8862
O2 0.1122 0.7119 0.8033
O3 0.1713 0.3081 0.9888
O4 0.2523 0.8151 0.2127
O5 0.2740 0.1665 0.6531
O6 0.2771 0.5337 0.5524
O7 0.4376 0.8326 0.6608
O8 0.4913 0.0976 0.0498
O9 0.5087 0.5976 0.9502
O10 0.5624 0.3326 0.3392
O11 0.7229 0.0337 0.4476
O12 0.7260 0.6665 0.3469
O13 0.7477 0.3151 0.7873
O14 0.8287 0.8081 0.0112
O15 0.8878 0.2119 0.1967
O16 0.9323 0.5110 0.1138
```

Peak list (12 most intense, 2θ = 5–70°, low angle first)
d [Å]	2theta	intensity
6.074	14.6	26.3
4.377	20.3	42.4
4.275	20.8	26.7
3.918	22.7	100.0
3.275	27.2	92.0
2.976	30.0	34.2
2.888	31.0	21.8
2.549	35.2	13.8
2.476	36.3	17.5
2.441	36.8	18.4
2.159	41.8	11.2
1.971	46.1	13.5

***

[3]
Computed X-ray powder pattern of LiCoSiO4 for Cu Ka, from a DFT-relaxed cell (GGA+U, the Materials Project).
Kinematic intensities with the Lorentz-polarization factor, no thermal factor.

Cell and atoms:
```
data_LiCoSiO4
_chemical_formula_sum 'Li4 Co4 Si4 O16'
_cell_length_a 5.0861
_cell_length_b 10.0830
_cell_length_c 8.4448
_cell_angle_alpha 90.00
_cell_angle_beta 126.54
_cell_angle_gamma 90.00
_symmetry_space_group_name_H-M 'P 1'
_symmetry_Int_Tables_number 1
loop_
_symmetry_equiv_pos_as_xyz
'x,y,z'
loop_
_atom_site_label
_atom_site_fract_x
_atom_site_fract_y
_atom_site_fract_z
Li1 0.2070 0.1405 0.0084
Li2 0.2070 0.3595 0.5084
Li3 0.7930 0.6405 0.4916
Li4 0.7930 0.8595 0.9916
Co1 0.3011 0.6764 0.9955
Co2 0.3011 0.8236 0.4955
Co3 0.6989 0.1764 0.5045
Co4 0.6989 0.3236 0.0045
Si1 0.0293 0.5928 0.2279
Si2 0.0293 0.9072 0.7279
Si3 0.9707 0.0928 0.2721
Si4 0.9707 0.4072 0.7721
O1 0.0371 0.5663 0.7775
O2 0.0371 0.9337 0.2775
O3 0.1294 0.6498 0.4404
O4 0.1294 0.8502 0.9404
O5 0.2892 0.1750 0.4528
O6 0.2892 0.3250 0.9528
O7 0.3404 0.6242 0.2208
O8 0.3404 0.8758 0.7208
O9 0.6596 0.1242 0.2792
O10 0.6596 0.3758 0.7792
O11 0.7108 0.6750 0.0472
O12 0.7108 0.8250 0.5472
O13 0.8706 0.1498 0.0596
O14 0.8706 0.3502 0.5596
O15 0.9629 0.0663 0.7225
O16 0.9629 0.4337 0.2225
```

Peak list (12 most intense, 2θ = 5–70°, low angle first)
d [Å]	2theta	intensity
5.629	15.7	55.5
5.042	17.6	20.8
4.050	21.9	100.0
3.787	23.5	78.8
3.760	23.7	31.6
3.012	29.7	43.8
2.815	31.8	53.4
2.543	35.3	46.0
2.521	35.6	22.9
2.018	44.9	15.8
1.876	48.5	17.4
1.506	61.6	30.4

***

[4]
Computed X-ray powder pattern of Li2CoSi2O6 for Cu Ka, from a DFT-relaxed cell (GGA+U, the Materials Project).
Kinematic intensities with the Lorentz-polarization factor, no thermal factor.

Cell and atoms:
```
data_Li2CoSi2O6
_chemical_formula_sum 'Li4 Co2 Si4 O12'
_cell_length_a 5.6388
_cell_length_b 5.6388
_cell_length_c 9.3545
_cell_angle_alpha 90.24
_cell_angle_beta 90.24
_cell_angle_gamma 117.76
_symmetry_space_group_name_H-M 'P 1'
_symmetry_Int_Tables_number 1
loop_
_symmetry_equiv_pos_as_xyz
'x,y,z'
loop_
_atom_site_label
_atom_site_fract_x
_atom_site_fract_y
_atom_site_fract_z
Li1 0.1047 0.7704 0.6166
Li2 0.2296 0.8953 0.8834
Li3 0.7704 0.1047 0.1166
Li4 0.8953 0.2296 0.3834
Co1 0.2490 0.7510 0.2500
Co2 0.7510 0.2490 0.7500
Si1 0.3011 0.3614 0.6346
Si2 0.3614 0.3011 0.1346
Si3 0.6386 0.6989 0.8654
Si4 0.6989 0.6386 0.3654
O1 0.0098 0.7352 0.4098
O2 0.1274 0.3603 0.2028
O3 0.2648 0.9902 0.0902
O4 0.3603 0.1274 0.7028
O5 0.3841 0.6159 0.7500
O6 0.5000 0.5000 0.0000
O7 0.5000 0.5000 0.5000
O8 0.6159 0.3841 0.2500
O9 0.6397 0.8726 0.2972
O10 0.7352 0.0098 0.9098
O11 0.8726 0.6397 0.7972
O12 0.9902 0.2648 0.5902
```

Peak list (12 most intense, 2θ = 5–70°, low angle first)
d [Å]	2theta	intensity
4.990	17.8	42.0
4.677	19.0	86.0
4.390	20.2	100.0
3.424	26.0	77.8
3.401	26.2	59.0
3.359	26.5	46.2
2.817	31.8	26.4
2.699	33.2	84.7
2.495	36.0	29.3
2.408	37.3	22.3
2.195	41.1	52.5
2.105	43.0	21.1

***

[5]
Computed X-ray powder pattern of Li4Co5SnO12 for Cu Ka, from a DFT-relaxed cell (GGA+U, the Materials Project).
Kinematic intensities with the Lorentz-polarization factor, no thermal factor.

Cell and atoms:
```
data_Li4Co5SnO12
_chemical_formula_sum 'Li4 Co5 Sn1 O12'
_cell_length_a 5.0286
_cell_length_b 5.0354
_cell_length_c 10.0553
_cell_angle_alpha 95.01
_cell_angle_beta 95.04
_cell_angle_gamma 119.23
_symmetry_space_group_name_H-M 'P 1'
_symmetry_Int_Tables_number 1
loop_
_symmetry_equiv_pos_as_xyz
'x,y,z'
loop_
_atom_site_label
_atom_site_fract_x
_atom_site_fract_y
_atom_site_fract_z
Li1 0.0000 0.0000 0.0000
Li2 0.1652 0.1631 0.5078
Li3 0.3319 0.6731 0.0005
Li4 0.4981 0.8380 0.5079
Co1 0.0807 0.0867 0.2538
Co2 0.2456 0.9247 0.7534
Co3 0.4139 0.7536 0.2539
Co4 0.5815 0.5883 0.7532
Co5 0.9176 0.2564 0.7543
Sn1 0.7472 0.4203 0.2539
O1 0.0685 0.3854 0.1465
O2 0.1396 0.8120 0.3606
O3 0.2288 0.5718 0.6523
O4 0.2585 0.2557 0.8638
O5 0.3556 0.0278 0.1471
O6 0.4257 0.4551 0.3612
O7 0.5268 0.2085 0.6522
O8 0.5997 0.9349 0.8567
O9 0.7123 0.7414 0.1466
O10 0.7822 0.0991 0.3612
O11 0.9046 0.9014 0.6436
O12 0.9585 0.6463 0.8544
```

Peak list (12 most intense, 2θ = 5–70°, low angle first)
d [Å]	2theta	intensity
4.952	17.9	100.0
2.507	35.8	10.9
2.481	36.2	19.4
2.411	37.3	9.8
2.381	37.8	17.6
2.095	43.2	8.9
2.085	43.4	18.3
1.937	46.9	9.1
1.918	47.4	17.8
1.625	56.7	16.6
1.492	62.2	7.6
1.464	63.6	10.2

***

[6]
Computed X-ray powder pattern of Li4Co5SnO12 for Cu Ka, from a DFT-relaxed cell (GGA+U, the Materials Project).
Kinematic intensities with the Lorentz-polarization factor, no thermal factor.

Cell and atoms:
```
data_Li4Co5SnO12
_chemical_formula_sum 'Li8 Co10 Sn2 O24'
_cell_length_a 5.0557
_cell_length_b 8.8313
_cell_length_c 10.8230
_cell_angle_alpha 113.14
_cell_angle_beta 95.39
_cell_angle_gamma 90.75
_symmetry_space_group_name_H-M 'P 1'
_symmetry_Int_Tables_number 1
loop_
_symmetry_equiv_pos_as_xyz
'x,y,z'
loop_
_atom_site_label
_atom_site_fract_x
_atom_site_fract_y
_atom_site_fract_z
Li1 0.1962 0.4596 0.2477
Li2 0.1968 0.7919 0.2479
Li3 0.2940 0.0410 0.7547
Li4 0.2985 0.7148 0.7538
Li5 0.7015 0.2852 0.2462
Li6 0.7060 0.9590 0.2453
Li7 0.8032 0.2081 0.7521
Li8 0.8038 0.5404 0.7523
Co1 0.0003 0.1620 0.0001
Co2 0.0000 0.5000 0.0000
Co3 0.9997 0.8380 0.9999
Co4 0.2499 0.5832 0.5001
Co5 0.2503 0.9169 0.5003
Co6 0.4979 0.3280 0.9958
Co7 0.5000 0.0000 0.0000
Co8 0.5021 0.6720 0.0042
Co9 0.7497 0.0831 0.4997
Co10 0.7501 0.4168 0.4999
Sn1 0.2507 0.2501 0.5001
Sn2 0.7493 0.7499 0.4999
O1 0.0503 0.0198 0.3934
O2 0.0498 0.3758 0.3930
O3 0.0841 0.6978 0.3936
O4 0.1469 0.2642 0.8895
O5 0.1467 0.6124 0.8960
O6 0.1657 0.9413 0.8953
O7 0.3167 0.5509 0.1060
O8 0.3699 0.2089 0.1041
O9 0.3706 0.8933 0.1076
O10 0.4145 0.8019 0.6064
O11 0.4510 0.1243 0.6065
O12 0.4510 0.4805 0.6068
O13 0.5490 0.5195 0.3932
O14 0.5490 0.8757 0.3935
O15 0.5855 0.1981 0.3936
O16 0.6294 0.1067 0.8924
O17 0.6301 0.7911 0.8959
O18 0.6833 0.4491 0.8940
O19 0.8343 0.0587 0.1047
O20 0.8533 0.3876 0.1040
O21 0.8531 0.7358 0.1105
O22 0.9159 0.3022 0.6064
O23 0.9502 0.6242 0.6070
O24 0.9497 0.9802 0.6066
```

Peak list (12 most intense, 2θ = 5–70°, low angle first)
d [Å]	2theta	intensity
4.947	17.9	100.0
2.510	35.8	10.8
2.501	35.9	10.3
2.494	36.0	9.9
2.437	36.9	10.2
2.393	37.6	9.1
2.112	42.8	9.4
2.091	43.3	9.4
2.082	43.5	9.5
1.962	46.3	9.3
1.924	47.2	9.0
1.471	63.2	10.6

***

[7]
Computed X-ray powder pattern of Li4Co5SnO12 for Cu Ka, from a DFT-relaxed cell (GGA+U, the Materials Project).
Kinematic intensities with the Lorentz-polarization factor, no thermal factor.

Cell and atoms:
```
data_Li4Co5SnO12
_chemical_formula_sum 'Li8 Co10 Sn2 O24'
_cell_length_a 5.0408
_cell_length_b 8.7983
_cell_length_c 10.8470
_cell_angle_alpha 113.89
_cell_angle_beta 94.62
_cell_angle_gamma 90.07
_symmetry_space_group_name_H-M 'P 1'
_symmetry_Int_Tables_number 1
loop_
_symmetry_equiv_pos_as_xyz
'x,y,z'
loop_
_atom_site_label
_atom_site_fract_x
_atom_site_fract_y
_atom_site_fract_z
Li1 0.0000 0.0000 0.0000
Li2 0.0106 0.3275 0.9987
Li3 0.0856 0.2509 0.5070
Li4 0.0993 0.5860 0.5080
Li5 0.5095 0.8312 0.9979
Li6 0.5245 0.4967 0.9992
Li7 0.5992 0.0822 0.5072
Li8 0.6099 0.7537 0.5058
Co1 0.0546 0.1228 0.2529
Co2 0.0553 0.4565 0.2531
Co3 0.3051 0.5340 0.7531
Co4 0.3054 0.8730 0.7533
Co5 0.3059 0.2054 0.7527
Co6 0.5553 0.6229 0.2530
Co7 0.5547 0.9564 0.2528
Co8 0.8048 0.3732 0.7529
Co9 0.8056 0.0426 0.7527
Co10 0.8061 0.7021 0.7530
Sn1 0.0560 0.7901 0.2534
Sn2 0.5540 0.2895 0.2524
O1 0.1441 0.1000 0.8559
O2 0.1566 0.4196 0.8501
O3 0.1610 0.7448 0.8571
O4 0.2158 0.3429 0.3598
O5 0.2509 0.0221 0.3604
O6 0.2525 0.6649 0.3605
O7 0.3575 0.0574 0.1455
O8 0.3589 0.4146 0.1454
O9 0.3941 0.7359 0.1461
O10 0.4463 0.6400 0.6498
O11 0.4558 0.3213 0.6551
O12 0.4658 0.9963 0.6496
O13 0.6403 0.5801 0.8552
O14 0.6519 0.9205 0.8623
O15 0.6798 0.2814 0.8627
O16 0.7169 0.8436 0.3604
O17 0.7500 0.1651 0.3593
O18 0.7513 0.5211 0.3600
O19 0.8586 0.9141 0.1460
O20 0.8599 0.5586 0.1466
O21 0.8931 0.2360 0.1454
O22 0.9300 0.1717 0.6432
O23 0.9569 0.8110 0.6435
O24 0.9688 0.4789 0.6506
```

Peak list (12 most intense, 2θ = 5–70°, low angle first)
d [Å]	2theta	intensity
4.939	18.0	100.0
2.498	36.0	20.3
2.486	36.1	10.0
2.401	37.5	9.3
2.398	37.5	9.2
2.383	37.7	9.1
2.089	43.3	27.3
1.928	47.1	18.1
1.916	47.4	8.9
1.623	56.7	16.4
1.497	62.0	7.6
1.458	63.8	10.1

***

[8]
Computed X-ray powder pattern of Li3Co4SnO8 for Cu Ka, from a DFT-relaxed cell (GGA+U, the Materials Project).
Kinematic intensities with the Lorentz-polarization factor, no thermal factor.

Cell and atoms:
```
data_Li3Co4SnO8
_chemical_formula_sum 'Li3 Co4 Sn1 O8'
_cell_length_a 6.0134
_cell_length_b 6.0134
_cell_length_c 6.0916
_cell_angle_alpha 119.92
_cell_angle_beta 119.92
_cell_angle_gamma 60.56
_symmetry_space_group_name_H-M 'P 1'
_symmetry_Int_Tables_number 1
loop_
_symmetry_equiv_pos_as_xyz
'x,y,z'
loop_
_atom_site_label
_atom_site_fract_x
_atom_site_fract_y
_atom_site_fract_z
Li1 0.0000 0.0000 0.0000
Li2 0.0000 0.5000 0.5000
Li3 0.5000 0.0000 0.5000
Co1 0.0000 0.0000 0.5000
Co2 0.0000 0.5000 0.0000
Co3 0.5000 0.0000 0.0000
Co4 0.5000 0.5000 0.0000
Sn1 0.5000 0.5000 0.5000
O1 0.2496 0.2496 0.7660
O2 0.2534 0.7402 0.7399
O3 0.2553 0.2553 0.2378
O4 0.2598 0.7466 0.2601
O5 0.7402 0.2534 0.7399
O6 0.7447 0.7447 0.7622
O7 0.7466 0.2598 0.2601
O8 0.7504 0.7504 0.2340
```

Peak list (12 most intense, 2θ = 5–70°, low angle first)
d [Å]	2theta	intensity
4.925	18.0	100.0
4.239	21.0	10.7
2.588	34.7	28.2
2.574	34.9	13.1
2.486	36.1	13.2
2.464	36.5	38.6
2.149	42.0	68.5
2.120	42.7	32.9
1.953	46.5	12.2
1.523	60.8	10.0
1.515	61.2	30.1
1.503	61.7	19.4

***

What did the third record say?
Computed X-ray powder pattern of LiCoSiO4 for Cu Ka, from a DFT-relaxed cell (GGA+U, the Materials Project).
Kinematic intensities with the Lorentz-polarization factor, no thermal factor.

Cell and atoms:
```
data_LiCoSiO4
_chemical_formula_sum 'Li4 Co4 Si4 O16'
_cell_length_a 5.0861
_cell_length_b 10.0830
_cell_length_c 8.4448
_cell_angle_alpha 90.00
_cell_angle_beta 126.54
_cell_angle_gamma 90.00
_symmetry_space_group_name_H-M 'P 1'
_symmetry_Int_Tables_number 1
loop_
_symmetry_equiv_pos_as_xyz
'x,y,z'
loop_
_atom_site_label
_atom_site_fract_x
_atom_site_fract_y
_atom_site_fract_z
Li1 0.2070 0.1405 0.0084
Li2 0.2070 0.3595 0.5084
Li3 0.7930 0.6405 0.4916
Li4 0.7930 0.8595 0.9916
Co1 0.3011 0.6764 0.9955
Co2 0.3011 0.8236 0.4955
Co3 0.6989 0.1764 0.5045
Co4 0.6989 0.3236 0.0045
Si1 0.0293 0.5928 0.2279
Si2 0.0293 0.9072 0.7279
Si3 0.9707 0.0928 0.2721
Si4 0.9707 0.4072 0.7721
O1 0.0371 0.5663 0.7775
O2 0.0371 0.9337 0.2775
O3 0.1294 0.6498 0.4404
O4 0.1294 0.8502 0.9404
O5 0.2892 0.1750 0.4528
O6 0.2892 0.3250 0.9528
O7 0.3404 0.6242 0.2208
O8 0.3404 0.8758 0.7208
O9 0.6596 0.1242 0.2792
O10 0.6596 0.3758 0.7792
O11 0.7108 0.6750 0.0472
O12 0.7108 0.8250 0.5472
O13 0.8706 0.1498 0.0596
O14 0.8706 0.3502 0.5596
O15 0.9629 0.0663 0.7225
O16 0.9629 0.4337 0.2225
```

Peak list (12 most intense, 2θ = 5–70°, low angle first)
d [Å]	2theta	intensity
5.629	15.7	55.5
5.042	17.6	20.8
4.050	21.9	100.0
3.787	23.5	78.8
3.760	23.7	31.6
3.012	29.7	43.8
2.815	31.8	53.4
2.543	35.3	46.0
2.521	35.6	22.9
2.018	44.9	15.8
1.876	48.5	17.4
1.506	61.6	30.4